Record 1
Structure and calculated powder diffractogram of LiEr2Ga (a crystal structure in the Materials Project, relaxed with PBE; Cu Kα).
No peak broadening, texture or thermal motion is included.

Crystal structure
a b c (Å): 7.142 7.142 7.142
angles (deg): 90.00 90.00 90.00
Space group Fm-3m (No. 225)
Inequivalent atoms, fractional coordinates:
Li 0.000 0.000 0.000
Er 0.250 0.250 0.250
Ga 0.000 0.000 0.500

Peak list (12 most intense, 10° ≤ 2θ ≤ 90°, most intense first)
hkl	2θ (°)	I_rel
2 2 0	35.55	100
2 0 0	24.94	47
4 2 2	63.85	36
4 2 0	57.73	19
4 0 0	51.16	18
6 2 0	86.11	16
2 2 2	43.92	14
4 4 0	75.27	11
6 0 0	80.73	9
1 1 1	21.55	7
3 1 1	41.96	4
3 3 1	56.14	1

Record 2
Structure and calculated powder diffractogram of ErMgGa (a crystal structure in the Materials Project, relaxed with PBE; Cu Kα).
No peak broadening, texture or thermal motion is included.

Crystal structure
a b c (Å): 7.2649 7.2649 4.3882
angles (deg): 90.00 90.00 120.00
Space group P-62m (No. 189)
Inequivalent atoms, fractional coordinates:
Er 0.0000 0.5792 0.0000
Mg 0.0000 0.2462 0.5000
Ga 0.0000 0.0000 0.0000
Ga 0.3333 0.6667 0.5000

Peak list (12 most intense, 10° ≤ 2θ ≤ 90°, most intense first)
hkl	2θ (°)	I_rel
2 0 1	35.10	100
1 1 1	31.98	87
2 0 0	28.37	33
3 1 1	56.78	32
0 0 1	20.24	29
1 1 0	24.51	28
2 1 0	37.83	26
0 0 2	41.14	25
3 1 0	52.44	23
3 1 2	68.73	21
2 1 1	43.27	17
3 2 1	68.42	17

Record 3
Structure and calculated powder diffractogram of Er2MnGa3 (a crystal structure in the Materials Project, relaxed with PBE; Cu Kα).
No peak broadening, texture or thermal motion is included.

Crystal structure
a b c (Å): 10.443 4.366 7.069
angles (deg): 90.00 132.01 90.00
Space group Cm (No. 8)
Inequivalent atoms, fractional coordinates:
Er 0.000 0.000 0.000
Er 0.087 0.000 0.589
Mn 0.211 0.500 0.414
Ga 0.206 0.500 0.010
Ga 0.378 0.000 0.584
Ga 0.388 0.000 0.187

Peak list (12 most intense, 10° ≤ 2θ ≤ 90°, most intense first)
hkl	2θ (°)	I_rel
1 1 -2	34.54	100
3 1 -2	34.73	78
3 1 0	40.54	63
0 2 0	41.36	44
1 1 0	23.38	32
0 0 2	34.14	31
1 1 1	33.30	30
3 1 -1	33.49	23
3 3 0	74.90	17
0 2 2	54.67	16
4 2 -2	54.92	15
2 0 0	22.92	13

Record 4
Structure and calculated powder diffractogram of ErGa2Ni3 (a crystal structure in the Materials Project, relaxed with PBE; Cu Kα).
No peak broadening, texture or thermal motion is included.

Crystal structure
a b c (Å): 8.7021 8.7021 4.0728
angles (deg): 90.00 90.00 120.00
Space group P-62m (No. 189)
Inequivalent atoms, fractional coordinates:
Er 0.0000 0.0000 0.0000
Er 0.3333 0.6667 0.5000
Ga 0.0000 0.2723 0.5000
Ga 0.0000 0.5156 0.0000
Ni 0.0000 0.7049 0.5000
Ni 0.1776 0.3723 0.0000

Peak list (12 most intense, 10° ≤ 2θ ≤ 90°, most intense first)
hkl	2θ (°)	I_rel
2 1 1	38.57	100
2 0 1	32.37	73
3 0 1	42.27	70
2 2 0	41.51	62
0 0 2	44.49	51
3 0 0	35.74	42
2 2 2	62.47	36
2 2 1	47.37	30
1 0 1	24.85	22
3 0 2	58.33	20
5 0 1	66.10	18
5 1 1	73.77	16

Record 5
Structure and calculated powder diffractogram of ErGaNi (a crystal structure in the Materials Project, relaxed with PBE; Cu Kα).
No peak broadening, texture or thermal motion is included.

Crystal structure
a b c (Å): 6.753 4.241 7.346
angles (deg): 90.00 90.00 90.00
Space group Pnma (No. 62)
Inequivalent atoms, fractional coordinates:
Er 0.016 0.250 0.195
Ga 0.176 0.250 0.573
Ni 0.212 0.750 0.398

Peak list (12 most intense, 10° ≤ 2θ ≤ 90°, most intense first)
hkl	2θ (°)	I_rel
2 1 1	36.14	100
0 2 0	42.64	52
1 1 2	34.94	42
0 1 1	24.23	22
3 1 4	69.70	16
2 2 2	57.09	15
1 0 3	39.13	15
3 0 1	41.98	14
2 3 1	73.80	11
4 1 1	60.34	10
1 2 3	59.25	9
3 2 1	61.38	9

Record 6
Structure and calculated powder diffractogram of ErGa4Ni (a crystal structure in the Materials Project, relaxed with PBE; Cu Kα).
No peak broadening, texture or thermal motion is included.

Crystal structure
a b c (Å): 4.120 15.153 6.594
angles (deg): 90.00 90.00 90.00
Space group Cmcm (No. 63)
Inequivalent atoms, fractional coordinates:
Er 0.000 0.119 0.250
Ga 0.000 0.071 0.750
Ga 0.000 0.315 0.051
Ga 0.000 0.500 0.000
Ni 0.000 0.225 0.750

Peak list (12 most intense, 10° ≤ 2θ ≤ 90°, most intense first)
hkl	2θ (°)	I_rel
1 1 2	35.37	100
1 5 1	39.33	53
1 5 0	36.82	51
2 0 0	43.95	37
0 6 1	38.16	31
0 6 2	45.23	23
0 4 2	36.12	17
2 6 1	59.59	16
2 6 2	64.90	15
1 3 1	31.12	14
0 0 4	55.77	11
3 1 2	75.21	11

Record 7
Structure and calculated powder diffractogram of ErGaNi (a crystal structure in the Materials Project, relaxed with PBE; Cu Kα).
No peak broadening, texture or thermal motion is included.

Crystal structure
a b c (Å): 9.659 4.178 6.777
angles (deg): 90.00 129.01 90.00
Space group C2/m (No. 12)
Inequivalent atoms, fractional coordinates:
Er 0.057 0.000 0.312
Ga 0.174 0.500 0.101
Ni 0.159 0.500 0.706

Peak list (12 most intense, 10° ≤ 2θ ≤ 90°, most intense first)
hkl	2θ (°)	I_rel
1 1 -2	35.41	100
3 1 -2	37.11	83
3 1 0	42.10	59
0 2 0	43.31	53
3 1 -1	35.64	51
1 1 1	33.89	47
1 1 0	24.38	38
4 0 -2	37.46	33
0 0 2	34.05	26
7 1 -3	72.11	21
1 1 3	65.71	20
2 0 -3	40.80	18

Record 8
Structure and calculated powder diffractogram of Er4Ga21Ni10 (a crystal structure in the Materials Project, relaxed with PBE; Cu Kα).
No peak broadening, texture or thermal motion is included.

Crystal structure
a b c (Å): 20.898 4.060 15.544
angles (deg): 90.00 125.24 90.00
Space group C2/m (No. 12)
Inequivalent atoms, fractional coordinates:
Er 0.120 0.000 0.333
Er 0.229 0.000 0.824
Ga 0.000 0.500 0.500
Ga 0.007 0.000 0.091
Ga 0.040 0.500 0.368
Ga 0.064 0.000 0.795
Ga 0.102 0.500 0.997
Ga 0.114 0.500 0.705
Ga 0.118 0.000 0.555
Ga 0.127 0.500 0.194
Ga 0.200 0.000 0.002
Ga 0.202 0.500 0.503
Ga 0.248 0.000 0.294
Ni 0.003 0.500 0.186
Ni 0.024 0.000 0.606
Ni 0.133 0.000 0.102
Ni 0.153 0.500 0.888
Ni 0.249 0.500 0.385

Peak list (12 most intense, 10° ≤ 2θ ≤ 90°, most intense first)
hkl	2θ (°)	I_rel
5 1 1	38.09	100
0 2 0	44.64	53
1 1 4	38.69	43
5 1 -5	36.89	33
8 0 0	42.34	19
7 1 -1	40.09	16
1 1 -6	45.87	15
1 1 -4	33.78	15
10 0 -4	43.33	14
7 1 -3	37.39	14
6 0 -6	35.38	13
3 1 -5	36.70	13

Record 9
Structure and calculated powder diffractogram of Er3GaNiS7 (a crystal structure in the Materials Project, relaxed with PBE; Cu Kα).
No peak broadening, texture or thermal motion is included.

Crystal structure
a b c (Å): 9.4794 9.4794 6.1630
angles (deg): 90.00 90.00 120.00
Space group P6_3 (No. 173)
Inequivalent atoms, fractional coordinates:
Er 0.1567 0.3753 0.0000
Ga 0.3333 0.6667 0.4283
Ni 0.0000 0.0000 0.3286
S 0.0852 0.5652 0.2674
S 0.1022 0.2331 0.5931
S 0.3333 0.6667 0.7958

Peak list (12 most intense, 10° ≤ 2θ ≤ 90°, most intense first)
hkl	2θ (°)	I_rel
2 0 1	26.08	100
2 2 0	37.97	37
2 0 2	36.46	34
3 0 1	35.91	27
1 0 1	18.00	25
2 0 3	49.62	24
1 2 2	41.29	21
1 2 0	28.77	21
1 4 1	53.25	16
0 0 2	28.98	16
3 1 1	42.32	14
1 1 2	34.72	14

Record 10
Structure and calculated powder diffractogram of ErGaO3 (a crystal structure in the Materials Project, relaxed with PBE; Cu Kα).
No peak broadening, texture or thermal motion is included.

Crystal structure
a b c (Å): 5.575 7.612 5.270
angles (deg): 90.00 90.00 90.00
Space group Pnma (No. 62)
Inequivalent atoms, fractional coordinates:
Er 0.068 0.250 0.019
Ga 0.000 0.000 0.500
O 0.041 0.750 0.385
O 0.195 0.559 0.807

Peak list (12 most intense, 10° ≤ 2θ ≤ 90°, most intense first)
hkl	2θ (°)	I_rel
1 2 1	33.19	100
0 0 2	34.03	24
1 2 3	60.36	21
1 1 1	26.05	20
2 0 0	32.11	18
3 1 1	53.67	17
2 0 2	47.48	17
0 4 0	47.80	14
2 1 0	34.26	13
1 0 1	23.23	13
2 1 2	49.06	12
0 4 2	59.96	12

Record 11
Structure and calculated powder diffractogram of ErGaO3 (a crystal structure in the Materials Project, relaxed with PBE; Cu Kα).
No peak broadening, texture or thermal motion is included.

Crystal structure
a b c (Å): 6.0745 6.0745 11.6690
angles (deg): 90.00 90.00 120.00
Space group P6_3cm (No. 185)
Inequivalent atoms, fractional coordinates:
Er 0.0000 0.0000 0.0000
Er 0.3333 0.6667 0.4592
Ga 0.0000 0.3343 0.2259
O 0.0000 0.0000 0.2033
O 0.0000 0.3086 0.3897
O 0.0000 0.3572 0.0632
O 0.3333 0.6667 0.2454

Peak list (12 most intense, 10° ≤ 2θ ≤ 90°, most intense first)
hkl	2θ (°)	I_rel
1 1 2	33.26	100
1 1 0	29.41	38
3 0 0	52.16	36
0 0 4	30.65	32
1 1 4	42.99	29
0 0 2	15.19	27
1 1 1	30.41	26
3 0 4	61.72	26
1 1 6	56.16	20
2 2 2	63.28	17
4 1 2	86.38	15
1 0 6	50.00	7

Record 12
Structure and calculated powder diffractogram of ErGaO3 (a crystal structure in the Materials Project, relaxed with PBE; Cu Kα).
No peak broadening, texture or thermal motion is included.

Crystal structure
a b c (Å): 3.818 3.818 3.818
angles (deg): 90.00 90.00 90.00
Space group Pm-3m (No. 221)
Inequivalent atoms, fractional coordinates:
Er 0.000 0.000 0.000
Ga 0.500 0.500 0.500
O 0.000 0.500 0.500

Peak list (11 most intense, 10° ≤ 2θ ≤ 90°, most intense first)
hkl	2θ (°)	I_rel
1 1 0	33.18	100
2 1 1	59.28	39
2 0 0	47.63	30
2 2 0	69.65	18
3 1 0	79.36	17
1 1 1	40.94	15
1 0 0	23.30	13
2 1 0	53.68	7
2 2 2	88.76	6
3 1 1	84.08	5
3 0 0	74.56	3

Q: Number 8 is which compound?
A: Er4Ga21Ni10